For ZnMoRuRh, a PBE-relaxed structure gives the theoretical powder X-ray diffraction pattern in this record (Cu Kα (weighted mean of Kα1 and Kα2)).

Peak list (7 most intense, 10 to 90 degrees two-theta, by intensity)
2θ = 41.58°, 2.172 Å, I 100.0
2θ = 75.87°, 1.254 Å, I 32.3
2θ = 60.26°, 1.536 Å, I 16.2
2θ = 29.07°, 3.072 Å, I 1.5
2θ = 25.11°, 3.547 Å, I 1.3
2θ = 49.19°, 1.852 Å, I 0.6
2θ = 68.28°, 1.374 Å, I 0.5

a b c (Å): 4.3439 4.3439 4.3439
angles (deg): 60.00 60.00 60.00
Element x y z (fractional)
Zn 0.0000 0.0000 0.0000
Mo 0.5000 0.5000 0.5000
Ru 0.2500 0.2500 0.2500
Rh 0.7500 0.7500 0.7500